(1)
Computed powder XRD pattern
Compound: Np5Ta3N8
Radiation: λ = 1.5418 Å (Cu Kα)
Structure: a structure optimized by DFT (PBE)
Kinematic intensities with the Lorentz-polarization factor, no thermal factor.

Top 12 peaks for 2θ = 10–90°, most intense first:
- d 2.685, 33.37°, rel. 100
- d 2.337, 38.52°, rel. 88
- d 2.741, 32.67°, rel. 35
- d 1.665, 55.15°, rel. 31
- d 1.407, 66.43°, rel. 30
- d 1.640, 56.07°, rel. 30
- d 1.423, 65.59°, rel. 16
- d 1.343, 70.09°, rel. 15
- d 1.400, 66.84°, rel. 15
- d 1.169, 82.55°, rel. 10
- d 1.371, 68.45°, rel. 5
- d 5.482, 16.17°, rel. 1

Structural model:
Lattice parameters (Å, degrees): 6.6635 6.6635 6.6635 58.98 58.98 58.98
Fractional positions:
Np  0.0000  0.0000  0.0000
Np  0.0000  0.5000  0.5000
Np  0.5000  0.0000  0.5000
Np  0.5000  0.5000  0.0000
Np  0.5000  0.5000  0.5000
Ta  0.0000  0.0000  0.5000
Ta  0.0000  0.5000  0.0000
Ta  0.5000  0.0000  0.0000
N  0.2245  0.7490  0.7490
N  0.2396  0.2396  0.2396
N  0.2510  0.2510  0.7755
N  0.2510  0.7755  0.2510
N  0.7490  0.2245  0.7490
N  0.7490  0.7490  0.2245
N  0.7604  0.7604  0.7604
N  0.7755  0.2510  0.2510

(2)
Computed powder XRD pattern
Compound: Np2TaVN5
Radiation: λ = 1.5418 Å (Cu Kα)
Structure: a structure optimized by DFT (PBE)
Kinematic intensities with the Lorentz-polarization factor, no thermal factor.

Top 12 peaks for 2θ = 10–90°, most intense first:
- d 2.984, 29.94°, rel. 100
- d 2.291, 39.33°, rel. 98
- d 2.588, 34.66°, rel. 63
- d 2.730, 32.81°, rel. 61
- d 3.132, 28.50°, rel. 44
- d 2.660, 33.69°, rel. 39
- d 2.506, 35.83°, rel. 35
- d 1.590, 58.02°, rel. 35
- d 1.878, 48.47°, rel. 32
- d 3.091, 28.88°, rel. 28
- d 2.117, 42.71°, rel. 24
- d 1.419, 65.79°, rel. 22

Structural model:
Lattice parameters (Å, degrees): 6.6929 6.6929 10.0776 90.00 90.00 152.10
Fractional positions:
Np  0.1073  0.8927  0.5000
Np  0.1449  0.8551  0.1122
Np  0.8551  0.1449  0.6122
Np  0.8927  0.1073  0.0000
Ta  0.2096  0.7904  0.8208
Ta  0.7904  0.2096  0.3208
V  0.4758  0.5242  0.2743
V  0.5242  0.4758  0.7743
N  0.0491  0.9509  0.8712
N  0.2814  0.7186  0.4673
N  0.3205  0.6795  0.1838
N  0.3702  0.6298  0.8121
N  0.4883  0.5117  0.5933
N  0.5117  0.4883  0.0933
N  0.6298  0.3702  0.3121
N  0.6795  0.3205  0.6838
N  0.7186  0.2814  0.9673
N  0.9509  0.0491  0.3712

(3)
Computed powder XRD pattern
Compound: Tb3NpN4
Radiation: λ = 1.5418 Å (Cu Kα)
Structure: a structure optimized by DFT (PBE)
Kinematic intensities with the Lorentz-polarization factor, no thermal factor.

Top 12 peaks for 2θ = 10–90°, most intense first:
- d 2.837, 31.53°, rel. 100
- d 2.464, 36.47°, rel. 46
- d 1.735, 52.75°, rel. 32
- d 1.485, 62.57°, rel. 30
- d 2.445, 36.76°, rel. 23
- d 1.476, 62.96°, rel. 15
- d 1.126, 86.39°, rel. 13
- d 1.100, 88.96°, rel. 11
- d 1.420, 65.78°, rel. 8
- d 1.744, 52.47°, rel. 8
- d 1.418, 65.88°, rel. 8
- d 1.740, 52.60°, rel. 8

Structural model:
Lattice parameters (Å, degrees): 6.0063 6.0063 3.4801 90.00 90.00 109.00
Fractional positions:
Tb  0.0000  0.0000  0.0000
Tb  0.0000  0.5000  0.5000
Tb  0.5000  0.0000  0.5000
Np  0.5000  0.5000  0.0000
N  0.2594  0.2594  0.5000
N  0.2618  0.7382  0.0000
N  0.7382  0.2618  0.0000
N  0.7406  0.7406  0.5000

(4)
Computed powder XRD pattern
Compound: Tb2NpN4
Radiation: λ = 1.5418 Å (Cu Kα)
Structure: a structure optimized by DFT (PBE)
Kinematic intensities with the Lorentz-polarization factor, no thermal factor.

Top 12 peaks for 2θ = 10–90°, most intense first:
- d 2.885, 31.00°, rel. 100
- d 2.827, 31.65°, rel. 91
- d 2.854, 31.35°, rel. 54
- d 2.041, 44.39°, rel. 43
- d 2.920, 30.62°, rel. 33
- d 1.631, 56.40°, rel. 31
- d 1.497, 61.98°, rel. 28
- d 2.192, 41.18°, rel. 21
- d 5.002, 17.73°, rel. 19
- d 1.765, 51.79°, rel. 16
- d 2.796, 32.01°, rel. 13
- d 1.649, 55.75°, rel. 13

Structural model:
Lattice parameters (Å, degrees): 5.8402 9.6912 3.5307 90.00 90.00 90.00
Fractional positions:
Tb  0.0679  0.1778  0.0000
Tb  0.4321  0.6778  0.0000
Tb  0.5679  0.3222  0.0000
Tb  0.9321  0.8222  0.0000
Np  0.0000  0.5000  0.5000
Np  0.5000  0.0000  0.5000
N  0.1395  0.6929  0.5000
N  0.2283  0.4534  0.0000
N  0.2717  0.9534  0.0000
N  0.3605  0.1929  0.5000
N  0.6395  0.8071  0.5000
N  0.7283  0.0466  0.0000
N  0.7717  0.5466  0.0000
N  0.8605  0.3071  0.5000

(5)
Computed powder XRD pattern
Compound: TbNpTe2N
Radiation: λ = 1.5418 Å (Cu Kα)
Structure: a structure optimized by DFT (PBE)
Kinematic intensities with the Lorentz-polarization factor, no thermal factor.

Top 12 peaks for 2θ = 10–90°, most intense first:
- d 2.867, 31.20°, rel. 100
- d 2.520, 35.63°, rel. 91
- d 3.234, 27.59°, rel. 60
- d 1.579, 58.43°, rel. 44
- d 2.027, 44.71°, rel. 41
- d 8.041, 11.00°, rel. 24
- d 1.717, 53.35°, rel. 22
- d 2.334, 38.57°, rel. 20
- d 1.282, 73.94°, rel. 19
- d 1.273, 74.57°, rel. 18
- d 4.021, 22.11°, rel. 17
- d 2.855, 31.33°, rel. 17

Structural model:
Lattice parameters (Å, degrees): 4.0540 4.0540 16.0828 90.00 90.00 90.00
Fractional positions:
Tb  0.2500  0.2500  0.1397
Tb  0.7500  0.7500  0.8603
Np  0.2500  0.2500  0.5656
Np  0.7500  0.7500  0.4344
Te  0.2500  0.2500  0.3221
Te  0.2500  0.2500  0.9185
Te  0.7500  0.7500  0.0815
Te  0.7500  0.7500  0.6779
N  0.2500  0.7500  0.5000
N  0.7500  0.2500  0.5000

(6)
Computed powder XRD pattern
Compound: NpTcN2
Radiation: λ = 1.5418 Å (Cu Kα)
Structure: a structure optimized by DFT (PBE)
Kinematic intensities with the Lorentz-polarization factor, no thermal factor.

Top 12 peaks for 2θ = 10–90°, most intense first:
- d 2.443, 36.79°, rel. 100
- d 2.487, 36.12°, rel. 77
- d 2.740, 32.68°, rel. 74
- d 2.654, 33.77°, rel. 64
- d 3.040, 29.38°, rel. 41
- d 2.189, 41.23°, rel. 39
- d 2.704, 33.13°, rel. 24
- d 2.218, 40.68°, rel. 23
- d 3.067, 29.12°, rel. 23
- d 1.519, 61.02°, rel. 22
- d 1.808, 50.48°, rel. 22
- d 1.711, 53.55°, rel. 21

Structural model:
Lattice parameters (Å, degrees): 3.1955 10.9659 5.4743 90.00 91.46 90.00
Fractional positions:
Np  0.2368  0.1417  0.0866
Np  0.2368  0.3583  0.5866
Np  0.7632  0.6417  0.4134
Np  0.7632  0.8583  0.9134
Tc  0.2880  0.6055  0.9184
Tc  0.2880  0.8945  0.4184
Tc  0.7120  0.1055  0.5816
Tc  0.7120  0.3945  0.0816
N  0.2371  0.0029  0.7484
N  0.2371  0.4971  0.2484
N  0.2691  0.7453  0.6506
N  0.2691  0.7547  0.1506
N  0.7309  0.2453  0.8494
N  0.7309  0.2547  0.3494
N  0.7629  0.5029  0.7516
N  0.7629  0.9971  0.2516